# NaZrTcMo
Calculated X-ray diffraction stick pattern, Cu Ka. Input: a cell relaxed with PBE.
Intensities are scaled so that the largest is 100.

Top 10 peaks for 10 to 80 degrees two-theta, by intensity:
2θ (°)  d [Å]  Rel. int.
38.90  2.315  100.0
70.44  1.337  32.7
56.18  1.637  16.5
23.53  3.781  13.8
27.24  3.274  6.7
45.96  1.974  6.7
61.75  1.502  2.8
63.53  1.464  2.4
75.43  1.260  2.1
48.13  1.890  1.9

Structure:
a = 6.5486 Å, b = 6.5486 Å, c = 6.5486 Å
α = 90.00°, β = 90.00°, γ = 90.00°
Space group F-43m (No. 216)
Symmetry-distinct sites (fractional):
Na (0.0000, 0.0000, 0.0000) (multiplicity 4)
Zr (0.2500, 0.2500, 0.7500) (multiplicity 4)
Tc (0.2500, 0.2500, 0.2500) (multiplicity 4)
Mo (0.0000, 0.0000, 0.5000) (multiplicity 4)


# Rb2Cu3Se4
Calculated X-ray diffraction stick pattern, Cu Ka. Input: a cell relaxed with PBE.
Intensities are scaled so that the largest is 100.

Top 10 peaks for 10 to 80 degrees two-theta, by intensity:
2θ (°)  d [Å]  Rel. int.
28.74  3.107  100.0
36.13  2.486  90.9
34.67  2.587  75.8
12.33  7.181  73.1
51.22  1.784  67.6
40.40  2.233  48.8
24.78  3.592  45.7
29.71  3.007  43.4
32.62  2.745  42.9
59.13  1.562  41.7

Structure:
a = 6.1505 Å, b = 10.8841 Å, c = 28.7237 Å
α = 90.00°, β = 90.00°, γ = 90.00°
Space group Fddd (No. 70, origin choice 2)
Symmetry-distinct sites (fractional):
Rb (0.1250, 0.1250, 0.0453) (multiplicity 16)
Cu (0.1250, 0.1250, 0.3755) (multiplicity 16)
Cu (0.1250, 0.1250, 0.6250) (multiplicity 8)
Se (0.1224, 0.2919, 0.5669) (multiplicity 32)


# GdDyMgCo2
Calculated X-ray diffraction stick pattern, Cu Ka. Input: a cell relaxed with PBE.
Intensities are scaled so that the largest is 100.

Top 10 peaks for 10 to 80 degrees two-theta, by intensity:
2θ (°)  d [Å]  Rel. int.
34.40  2.607  100.0
26.46  3.369  54.3
38.68  2.328  39.0
39.22  2.297  30.9
43.09  2.099  25.2
40.01  2.253  24.8
59.27  1.559  21.9
69.83  1.347  19.9
53.34  1.717  18.7
36.41  2.468  16.2

Structure:
a = 4.1984 Å, b = 5.6463 Å, c = 8.2315 Å
α = 90.00°, β = 90.00°, γ = 90.00°
Space group Imm2 (No. 44)
Symmetry-distinct sites (fractional):
Gd (0.0000, 0.0000, 0.0000) (multiplicity 2)
Dy (0.0000, 0.0000, 0.4181) (multiplicity 2)
Mg (0.0000, 0.5000, 0.2090) (multiplicity 2)
Co (0.0000, 0.2989, 0.7097) (multiplicity 4)


# Er4Al24Pt9
Calculated X-ray diffraction stick pattern, Cu Ka. Input: a cell relaxed with PBE.
Intensities are scaled so that the largest is 100.

Top 10 peaks for 10 to 80 degrees two-theta, by intensity:
2θ (°)  d [Å]  Rel. int.
41.60  2.171  100.0
30.10  2.969  88.4
28.71  3.109  82.3
23.77  3.743  78.7
38.57  2.334  31.0
44.54  2.034  26.9
20.66  4.300  25.0
34.93  2.569  22.4
34.77  2.580  19.6
55.33  1.660  18.8

Structure:
a = 7.5154 Å, b = 7.5170 Å, c = 13.1387 Å
α = 79.05°, β = 84.53°, γ = 60.11°
Space group P-1 (No. 2)
Symmetry-distinct sites (fractional):
Er (0.0011, 0.2325, 0.3079) (multiplicity 2)
Er (0.3319, 0.5621, 0.3080) (multiplicity 2)
Al (0.0006, 0.6857, 0.9412) (multiplicity 2)
Al (0.0013, 0.8524, 0.4437) (multiplicity 2)
Al (0.0063, 0.0563, 0.8286) (multiplicity 2)
Al (0.1305, 0.3080, 0.6844) (multiplicity 2)
Al (0.3318, 0.1837, 0.4524) (multiplicity 2)
Al (0.3326, 0.0208, 0.9384) (multiplicity 2)
Al (0.3334, 0.6468, 0.0588) (multiplicity 2)
Al (0.3337, 0.4822, 0.5562) (multiplicity 2)
Al (0.3345, 0.3831, 0.8287) (multiplicity 2)
Al (0.3362, 0.8978, 0.6832) (multiplicity 2)
Al (0.3398, 0.2698, 0.1700) (multiplicity 2)
Al (0.4578, 0.8969, 0.3163) (multiplicity 2)
Pt (0.0000, 0.5000, 0.5000) (multiplicity 1)
Pt (0.0085, 0.6119, 0.1390) (multiplicity 2)
Pt (0.3248, 0.9542, 0.1374) (multiplicity 2)
Pt (0.3286, 0.8284, 0.5000) (multiplicity 2)
Pt (0.3333, 0.7042, 0.8610) (multiplicity 2)